Calculated powder XRD pattern
Compound: PaTcSb2N
Radiation: Cu Kα, 1.54184 Å
Structure: a DFT-relaxed cell (GGA-PBE, Alexandria)

Structure:
```
data_PaTcSb2N
_chemical_formula_sum 'Pa2 Tc2 Sb4 N2'
_symmetry_space_group_name_H-M 'P 4/n m m'
_symmetry_Int_Tables_number 129
_cell_length_a 3.7323
_cell_length_b 3.7323
_cell_length_c 15.4942
_cell_angle_alpha 90.00
_cell_angle_beta 90.00
_cell_angle_gamma 90.00
loop_
_symmetry_equiv_pos_as_xyz
'x,y,z'
'-x,-y,-z'
'-y+1/2,x,z'
'y+1/2,-x,-z'
'-x+1/2,-y+1/2,z'
'x+1/2,y+1/2,-z'
'y,-x+1/2,z'
'-y,x+1/2,-z'
'x+1/2,-y,-z'
'-x+1/2,y,z'
'-y,-x,-z'
'y,x,z'
'-x,y+1/2,-z'
'x,-y+1/2,z'
'y+1/2,x+1/2,-z'
'-y+1/2,-x+1/2,z'
loop_
_atom_site_label
_atom_site_fract_x
_atom_site_fract_y
_atom_site_fract_z
Pa1 0.2500 0.2500 0.0810
Tc1 0.2500 0.2500 0.6179
Sb1 0.2500 0.2500 0.4355
Sb2 0.2500 0.2500 0.7888
N1 0.2500 0.7500 0.0000
```

Most intense lines, 10° ≤ 2θ ≤ 90°, low angle first:
2θ (°)  I/Imax  (hkl)
11.42  26  0 0 2
26.51  24  1 0 2
29.53  100  1 0 3
33.34  24  1 0 4
33.97  88  1 1 0
34.74  16  0 0 6
37.73  26  1 0 5
42.57  23  1 0 6
48.80  35  2 0 0
49.38  27  1 1 6
58.08  30  2 1 3
81.56  15  3 1 0